LiDyCr2O8: computed powder XRD pattern (Cu Ka), based on a crystal structure in Alexandria, relaxed with PBE+U.
Peak positions follow from Bragg's law for the DFT cell and can differ from measured ones.

Largest 10 diffraction maxima, by intensity, 15 to 90 degrees two-theta:
two_theta, intensity
24.9, 100.0
17.6, 62.6
34.0, 62.3
19.0, 55.7
50.0, 54.4
31.5, 29.1
38.5, 23.6
62.8, 20.7
65.8, 17.3
74.3, 16.8

Crystal structure
Unit cell a=5.924 b=5.924 c=5.924 alpha=105.87 beta=105.87 gamma=116.95
Fractional positions:
Li (0.000, 0.000, 0.000)
Dy (0.750, 0.250, 0.500)
Cr (0.250, 0.750, 0.500)
Cr (0.500, 0.500, 0.000)
O (0.082, 0.399, 0.318)
O (0.082, 0.764, 0.682)
O (0.154, 0.341, 0.813)
O (0.236, 0.918, 0.318)
O (0.528, 0.341, 0.187)
O (0.601, 0.918, 0.682)
O (0.659, 0.472, 0.813)
O (0.659, 0.846, 0.187)